Te4MoW2S2: computed powder diffraction line list (copper Kα), based on a PBE-relaxed structure.

Most intense lines, 5 to 70 degrees two-theta, in order of rising 2θ:
2theta  Rel. int.  h k l
5.6  100.0  0 0 2
11.2  19.1  0 0 4
30.1  6.8  1 0 0
34.7  9.5  1 0 6
36.2  11.1  1 0 7
39.7  5.8  1 0 9
43.8  8.1  1 0 11
53.5  5.5  1 1 0

Structural model:
```
data_Te4MoW2S2
_chemical_formula_sum 'Te4 Mo1 W2 S2'
_symmetry_space_group_name_H-M 'P -6 m 2'
_symmetry_Int_Tables_number 187
_symmetry_space_group_name_Hall 'P -6 2'
_cell_length_a 3.4258
_cell_length_b 3.4258
_cell_length_c 31.6675
_cell_angle_alpha 90.00
_cell_angle_beta 90.00
_cell_angle_gamma 120.00
loop_
_atom_site_label
_atom_site_fract_x
_atom_site_fract_y
_atom_site_fract_z
_atom_site_occupancy
Te1 0.0000 0.0000 0.1723 1
Te2 0.0000 0.0000 0.2903 1
Mo1 0.0000 0.0000 0.0000 1
W1 0.6667 0.3333 0.2313 1
S1 0.6667 0.3333 0.0473 1
```

---

Te2Mo2WS4: computed powder diffraction line list (copper Kα), based on a PBE-relaxed structure.

Most intense lines, 5 to 70 degrees two-theta, in order of rising 2θ:
2theta  Rel. int.  h k l
5.8  37.7  0 0 2
11.6  100.0  0 0 4
31.3  40.2  1 0 0
36.1  58.6  1 0 6
37.6  66.0  0 1 7
43.4  23.0  1 0 10
45.6  33.6  0 1 11
55.8  31.3  1 1 0

Structural model:
```
data_Te2Mo2WS4
_chemical_formula_sum 'Te2 Mo2 W1 S4'
_symmetry_space_group_name_H-M 'P 3 m 1'
_symmetry_Int_Tables_number 156
_cell_length_a 3.2987
_cell_length_b 3.2987
_cell_length_c 30.5246
_cell_angle_alpha 90.00
_cell_angle_beta 90.00
_cell_angle_gamma 120.00
loop_
_symmetry_equiv_pos_as_xyz
'x,y,z'
'-y,x-y,z'
'-x+y,-x,z'
'-y,-x,z'
'-x+y,y,z'
'x,x-y,z'
loop_
_atom_site_label
_atom_site_fract_x
_atom_site_fract_y
_atom_site_fract_z
_atom_site_occupancy
Te1 0.0000 0.0000 0.0000 1
Te2 0.0000 0.0000 0.1257 1
Mo1 0.0000 0.0000 0.8315 1
Mo2 0.3333 0.6667 0.0628 1
W1 0.0000 0.0000 0.2942 1
S1 0.3333 0.6667 0.2438 1
S2 0.3333 0.6667 0.3446 1
S3 0.3333 0.6667 0.7814 1
S4 0.3333 0.6667 0.8816 1
```

---

Te4Mo3WS4: computed powder diffraction line list (copper Kα), based on a PBE-relaxed structure.

Most intense lines, 5 to 70 degrees two-theta, in order of rising 2θ:
2theta  Rel. int.  h k l
6.9  28.8  0 0 3
11.5  91.9  0 0 5
18.5  22.7  0 0 8
30.8  67.1  1 0 0
36.1  100.0  1 0 8
37.5  21.0  0 0 16
43.7  47.2  1 0 13
54.7  33.4  1 1 0

Structural model:
```
data_Te4Mo3WS4
_chemical_formula_sum 'Te4 Mo3 W1 S4'
_symmetry_space_group_name_H-M 'P 3 m 1'
_symmetry_Int_Tables_number 156
_cell_length_a 3.3567
_cell_length_b 3.3567
_cell_length_c 38.3149
_cell_angle_alpha 90.00
_cell_angle_beta 90.00
_cell_angle_gamma 120.00
loop_
_symmetry_equiv_pos_as_xyz
'x,y,z'
'-y,x-y,z'
'-x+y,-x,z'
'-y,-x,z'
'-x+y,y,z'
'x,x-y,z'
loop_
_atom_site_label
_atom_site_fract_x
_atom_site_fract_y
_atom_site_fract_z
_atom_site_occupancy
Te1 0.0000 0.0000 0.0000 1
Te2 0.0000 0.0000 0.0989 1
Te3 0.0000 0.0000 0.3758 1
Te4 0.0000 0.0000 0.4746 1
Mo1 0.0000 0.0000 0.8616 1
Mo2 0.3333 0.6667 0.0495 1
Mo3 0.3333 0.6667 0.4252 1
W1 0.0000 0.0000 0.2373 1
S1 0.3333 0.6667 0.1977 1
S2 0.3333 0.6667 0.2770 1
S3 0.3333 0.6667 0.8221 1
S4 0.3333 0.6667 0.9011 1
```